For VC2O6, DFT lattice parameters and positions (GGA+U) gives the theoretical X-ray diffraction stick pattern in this record (a wavelength of 1.5418 Å).
Neutral-atom scattering factors, no anomalous dispersion.

Cell and atoms:
```
data_VC2O6
_cell_length_a 6.1402
_cell_length_b 6.8430
_cell_length_c 12.2811
_cell_angle_alpha 103.72
_cell_angle_beta 93.04
_cell_angle_gamma 103.61
_symmetry_space_group_name_H-M 'P -1'
_symmetry_Int_Tables_number 2
loop_
_symmetry_equiv_pos_as_xyz
'x,y,z'
'-x,-y,-z'
loop_
_atom_site_label
_atom_site_type_symbol
_atom_site_fract_x
_atom_site_fract_y
_atom_site_fract_z
_atom_site_occupancy
V1 V 0.1740 0.2497 0.1628 1
V2 V 0.1741 0.2505 0.6630 1
C1 C 0.1081 0.1946 0.4053 1
C2 C 0.1086 0.1948 0.9053 1
C3 C 0.3109 0.6944 0.3042 1
C4 C 0.3107 0.6951 0.8045 1
O1 O 0.0767 0.9590 0.1169 1
O2 O 0.0769 0.9595 0.6169 1
O3 O 0.1504 0.7561 0.3517 1
O4 O 0.1503 0.7565 0.8522 1
O5 O 0.1919 0.2841 0.5067 1
O6 O 0.1927 0.2840 0.0068 1
O7 O 0.2024 0.2570 0.3252 1
O8 O 0.2030 0.2570 0.8253 1
O9 O 0.2664 0.5413 0.7117 1
O10 O 0.2667 0.5406 0.2113 1
O11 O 0.4866 0.2148 0.1538 1
O12 O 0.4866 0.2157 0.6539 1
```

Most intense lines, 10° ≤ 2θ ≤ 90°, in order of rising 2θ:
hkl  two_theta  d/Å  I (rel.)
1 0 0  14.95  5.927  61
0 1 -2  17.56  5.050  100
1 1 0  22.87  3.888  15
0 2 0  27.76  3.213  33
2 -1 0  29.79  2.999  44
0 0 4  30.16  2.963  16
3 0 0  45.94  1.976  12
1 1 -6  46.51  1.953  9
3 -2 0  47.44  1.916  12
1 3 0  48.76  1.867  9

=====

For VC2O6, DFT lattice parameters and positions (GGA+U) gives the theoretical X-ray diffraction stick pattern in this record (a wavelength of 1.5418 Å).
Neutral-atom scattering factors, no anomalous dispersion.

Cell and atoms:
```
data_VC2O6
_cell_length_a 7.6059
_cell_length_b 7.1341
_cell_length_c 9.2380
_cell_angle_alpha 90.00
_cell_angle_beta 90.00
_cell_angle_gamma 90.00
_symmetry_space_group_name_H-M 'P n a 21'
_symmetry_Int_Tables_number 33
loop_
_symmetry_equiv_pos_as_xyz
'x,y,z'
'-x,-y,z+1/2'
'-x+1/2,y+1/2,z+1/2'
'x+1/2,-y+1/2,z'
loop_
_atom_site_label
_atom_site_type_symbol
_atom_site_fract_x
_atom_site_fract_y
_atom_site_fract_z
_atom_site_occupancy
V1 V 0.1445 0.2367 0.0000 1
C1 C 0.2195 0.5750 0.7757 1
C2 C 0.2464 0.4213 0.2718 1
O1 O 0.0744 0.7869 0.5023 1
O2 O 0.1543 0.4523 0.8544 1
O3 O 0.1551 0.4258 0.1574 1
O4 O 0.1962 0.7556 0.8340 1
O5 O 0.2056 0.0495 0.1548 1
O6 O 0.2073 0.0654 0.8377 1
```

Most intense lines, 10° ≤ 2θ ≤ 90°, in order of rising 2θ:
hkl  two_theta  d/Å  I (rel.)
0 1 1  15.69  5.646  100
2 0 0  23.39  3.803  21
2 0 1  25.33  3.517  26
2 1 0  26.56  3.356  8
2 0 2  30.45  2.936  6
0 2 2  31.68  2.825  33
2 1 2  32.99  2.715  7
2 2 3  45.65  1.987  7
0 2 4  46.86  1.939  6
0 3 3  48.36  1.882  12

=====

For VC2O6, DFT lattice parameters and positions (GGA+U) gives the theoretical X-ray diffraction stick pattern in this record (a wavelength of 1.5418 Å).
Neutral-atom scattering factors, no anomalous dispersion.

Cell and atoms:
```
data_VC2O6
_cell_length_a 10.0238
_cell_length_b 10.0238
_cell_length_c 9.2701
_cell_angle_alpha 90.00
_cell_angle_beta 90.00
_cell_angle_gamma 90.00
_symmetry_space_group_name_H-M 'I -4 2 d'
_symmetry_Int_Tables_number 122
_symmetry_space_group_name_Hall 'I -4 2bw'
loop_
_atom_site_label
_atom_site_type_symbol
_atom_site_fract_x
_atom_site_fract_y
_atom_site_fract_z
_atom_site_occupancy
V1 V 0.2203 0.7500 0.1250 1
C1 C 0.0523 0.7134 0.3948 1
O1 O 0.0653 0.2178 0.7997 1
O2 O 0.0704 0.7128 0.2579 1
O3 O 0.1518 0.7046 0.4830 1
```

Most intense lines, 10° ≤ 2θ ≤ 90°, in order of rising 2θ:
hkl  two_theta  d/Å  I (rel.)
1 0 1  13.01  6.806  11
2 0 0  17.70  5.012  100
1 1 2  22.93  3.879  31
2 0 2  26.19  3.403  17
3 0 1  28.39  3.143  14
3 1 2  34.27  2.616  25
4 0 0  35.83  2.506  10
3 3 2  42.98  2.105  9
4 1 3  47.59  1.911  14
4 2 4  57.17  1.611  11

=====

For VC2O6, DFT lattice parameters and positions (GGA+U) gives the theoretical X-ray diffraction stick pattern in this record (a wavelength of 1.5418 Å).
Neutral-atom scattering factors, no anomalous dispersion.

Cell and atoms:
```
data_VC2O6
_cell_length_a 4.8521
_cell_length_b 6.2720
_cell_length_c 8.4075
_cell_angle_alpha 77.09
_cell_angle_beta 89.99
_cell_angle_gamma 67.39
_symmetry_space_group_name_H-M 'P -1'
_symmetry_Int_Tables_number 2
loop_
_symmetry_equiv_pos_as_xyz
'x,y,z'
'-x,-y,-z'
loop_
_atom_site_label
_atom_site_type_symbol
_atom_site_fract_x
_atom_site_fract_y
_atom_site_fract_z
_atom_site_occupancy
V1 V 0.2496 0.0001 0.2500 1
C1 C 0.1544 0.1914 0.8847 1
C2 C 0.3460 0.8081 0.6154 1
O1 O 0.0322 0.8024 0.2275 1
O2 O 0.0767 0.1969 0.0309 1
O3 O 0.0905 0.8026 0.6529 1
O4 O 0.4103 0.1963 0.8475 1
O5 O 0.4230 0.8029 0.4690 1
O6 O 0.4671 0.1980 0.2727 1
```

Most intense lines, 10° ≤ 2θ ≤ 90°, in order of rising 2θ:
hkl  two_theta  d/Å  I (rel.)
0 1 0  15.77  5.618  100
0 0 2  21.79  4.078  56
1 2 1  30.03  2.976  68
1 0 3  40.49  2.228  26
1 3 1  43.31  2.089  12
0 0 4  44.43  2.039  7
1 3 -1  48.33  1.883  7
1 -1 3  49.62  1.837  10
-2 1 2  51.20  1.784  9
2 2 4  58.35  1.582  13

=====

For VC2O6, DFT lattice parameters and positions (GGA+U) gives the theoretical X-ray diffraction stick pattern in this record (a wavelength of 1.5418 Å).
Neutral-atom scattering factors, no anomalous dispersion.

Cell and atoms:
```
data_VC2O6
_cell_length_a 4.8508
_cell_length_b 6.3797
_cell_length_c 16.6221
_cell_angle_alpha 80.81
_cell_angle_beta 81.66
_cell_angle_gamma 68.00
_symmetry_space_group_name_H-M 'P -1'
_symmetry_Int_Tables_number 2
loop_
_symmetry_equiv_pos_as_xyz
'x,y,z'
'-x,-y,-z'
loop_
_atom_site_label
_atom_site_type_symbol
_atom_site_fract_x
_atom_site_fract_y
_atom_site_fract_z
_atom_site_occupancy
V1 V 0.0000 0.0000 0.0000 1
V2 V 0.0000 0.5000 0.5000 1
V3 V 0.4990 0.2505 0.7500 1
C1 C 0.0925 0.1627 0.6510 1
C2 C 0.0941 0.6619 0.1510 1
C3 C 0.4064 0.0875 0.0990 1
C4 C 0.4066 0.5880 0.5991 1
O1 O 0.1623 0.3606 0.8315 1
O2 O 0.1642 0.8592 0.3313 1
O3 O 0.1712 0.2301 0.5770 1
O4 O 0.1725 0.7304 0.0771 1
O5 O 0.2202 0.1503 0.0441 1
O6 O 0.2201 0.6498 0.5439 1
O7 O 0.2783 0.1007 0.7062 1
O8 O 0.2811 0.5994 0.2060 1
O9 O 0.3274 0.5203 0.6730 1
O10 O 0.3292 0.0194 0.1731 1
O11 O 0.3370 0.3898 0.4185 1
O12 O 0.3366 0.8906 0.9188 1
```

Most intense lines, 10° ≤ 2θ ≤ 90°, in order of rising 2θ:
hkl  two_theta  d/Å  I (rel.)
0 1 1  15.43  5.743  100
1 0 -2  23.55  3.778  71
0 2 -2  33.58  2.669  28
1 2 4  33.73  2.657  14
1 -1 5  40.24  2.241  8
1 0 -6  40.34  2.236  8
2 2 2  40.46  2.230  8
2 0 -4  48.12  1.891  8
2 3 7  57.89  1.593  6
2 0 8  58.28  1.583  5

=====

For VC6O6, DFT lattice parameters and positions (GGA+U) gives the theoretical X-ray diffraction stick pattern in this record (a wavelength of 1.5418 Å).
Neutral-atom scattering factors, no anomalous dispersion.

Cell and atoms:
```
data_VC6O6
_cell_length_a 12.7941
_cell_length_b 11.2938
_cell_length_c 6.8209
_cell_angle_alpha 90.00
_cell_angle_beta 90.00
_cell_angle_gamma 90.00
_symmetry_space_group_name_H-M 'P n m a'
_symmetry_Int_Tables_number 62
loop_
_symmetry_equiv_pos_as_xyz
'x,y,z'
'-x,-y,-z'
'-x+1/2,-y,z+1/2'
'x+1/2,y,-z+1/2'
'x+1/2,-y+1/2,-z+1/2'
'-x+1/2,y+1/2,z+1/2'
'-x,y+1/2,-z'
'x,-y+1/2,z'
loop_
_atom_site_label
_atom_site_type_symbol
_atom_site_fract_x
_atom_site_fract_y
_atom_site_fract_z
_atom_site_occupancy
V1 V 0.1270 0.2500 0.0615 1
C1 C 0.0284 0.1313 0.1797 1
C2 C 0.0404 0.2500 0.8102 1
C3 C 0.2147 0.2500 0.3111 1
C4 C 0.2243 0.1300 0.9419 1
O1 O 0.0080 0.7500 0.3327 1
O2 O 0.0303 0.5645 0.7528 1
O3 O 0.2192 0.5619 0.3717 1
O4 O 0.2352 0.7500 0.9522 1
```

Most intense lines, 10° ≤ 2θ ≤ 90°, in order of rising 2θ:
hkl  two_theta  d/Å  I (rel.)
1 0 1  14.72  6.019  43
0 2 0  15.69  5.647  51
2 1 0  15.92  5.566  81
1 1 1  16.69  5.312  70
2 3 0  27.49  3.244  29
4 0 0  27.91  3.197  24
3 2 1  29.33  3.045  26
2 0 2  29.69  3.009  33
2 3 1  30.51  2.930  100
3 3 1  34.39  2.608  41

=====

For VC2O6, DFT lattice parameters and positions (GGA+U) gives the theoretical X-ray diffraction stick pattern in this record (a wavelength of 1.5418 Å).
Neutral-atom scattering factors, no anomalous dispersion.

Cell and atoms:
```
data_VC2O6
_cell_length_a 8.0212
_cell_length_b 8.0490
_cell_length_c 8.4125
_cell_angle_alpha 75.49
_cell_angle_beta 75.51
_cell_angle_gamma 66.54
_symmetry_space_group_name_H-M 'P 1'
_symmetry_Int_Tables_number 1
loop_
_symmetry_equiv_pos_as_xyz
'x,y,z'
loop_
_atom_site_label
_atom_site_type_symbol
_atom_site_fract_x
_atom_site_fract_y
_atom_site_fract_z
_atom_site_occupancy
V1 V 0.0000 0.0000 0.0000 1
V2 V 0.1021 0.3923 0.2556 1
V3 V 0.4937 0.4979 0.5076 1
V4 V 0.6073 0.8927 0.7494 1
C1 C 0.2507 0.6880 0.2391 1
C2 C 0.2995 0.1455 0.9865 1
C3 C 0.3089 0.7442 0.7714 1
C4 C 0.3455 0.2024 0.5218 1
C5 C 0.7564 0.1878 0.7341 1
C6 C 0.7923 0.6466 0.4855 1
C7 C 0.8020 0.2473 0.2689 1
C8 C 0.8511 0.7042 0.0174 1
O1 O 0.1467 0.8499 0.8248 1
O2 O 0.1498 0.8466 0.1758 1
O3 O 0.1506 0.1402 0.9509 1
O4 O 0.2494 0.5381 0.2045 1
O5 O 0.2512 0.2050 0.4190 1
O6 O 0.2852 0.2454 0.0880 1
O7 O 0.3225 0.6344 0.6757 1
O8 O 0.3394 0.3513 0.5596 1
O9 O 0.3576 0.6765 0.3348 1
O10 O 0.4453 0.0436 0.5924 1
O11 O 0.4554 0.7397 0.8126 1
O12 O 0.4594 0.0537 0.9159 1
O13 O 0.6418 0.3392 0.3393 1
O14 O 0.6456 0.6504 0.4452 1
O15 O 0.6557 0.3463 0.6635 1
O16 O 0.7424 0.7156 0.9235 1
O17 O 0.7632 0.0386 0.6966 1
O18 O 0.7788 0.7555 0.5820 1
O19 O 0.8166 0.1470 0.1676 1
O20 O 0.8505 0.1866 0.8365 1
O21 O 0.8527 0.8541 0.0519 1
O22 O 0.9507 0.2530 0.3046 1
O23 O 0.9536 0.5458 0.0791 1
O24 O 0.9546 0.5427 0.4305 1
```

Most intense lines, 10° ≤ 2θ ≤ 90°, in order of rising 2θ:
hkl  two_theta  d/Å  I (rel.)
0 1 1  14.98  5.914  32
1 0 1  15.01  5.901  31
0 1 -1  17.80  4.982  100
2 1 1  22.79  3.902  15
2 2 0  27.84  3.205  36
1 -1 2  30.11  2.967  44
0 2 2  30.26  2.954  17
0 3 3  46.03  1.972  10
2 -2 2  47.04  1.932  10
1 -2 3  48.06  1.893  11

=====

For VC2O6, DFT lattice parameters and positions (GGA+U) gives the theoretical X-ray diffraction stick pattern in this record (a wavelength of 1.5418 Å).
Neutral-atom scattering factors, no anomalous dispersion.

Cell and atoms:
```
data_VC2O6
_cell_length_a 4.5710
_cell_length_b 6.3015
_cell_length_c 8.9219
_cell_angle_alpha 90.00
_cell_angle_beta 119.70
_cell_angle_gamma 90.00
_symmetry_space_group_name_H-M 'P 1 21/c 1'
_symmetry_Int_Tables_number 14
loop_
_symmetry_equiv_pos_as_xyz
'x,y,z'
'-x,-y,-z'
'-x,y+1/2,-z+1/2'
'x,-y+1/2,z+1/2'
loop_
_atom_site_label
_atom_site_type_symbol
_atom_site_fract_x
_atom_site_fract_y
_atom_site_fract_z
_atom_site_occupancy
V1 V 0.0000 0.0000 0.0000 1
C1 C 0.3183 0.2034 0.8078 1
O1 O 0.0586 0.1444 0.8147 1
O2 O 0.2968 0.2068 0.1732 1
O3 O 0.3780 0.6740 0.5609 1
```

Most intense lines, 10° ≤ 2θ ≤ 90°, in order of rising 2θ:
hkl  two_theta  d/Å  I (rel.)
0 1 1  18.14  4.889  100
1 0 -2  22.78  3.904  8
1 1 -1  24.05  3.700  15
1 1 0  26.53  3.359  10
1 1 -2  26.87  3.318  14
1 1 1  33.22  2.697  7
1 1 -3  33.76  2.655  6
1 2 0  36.40  2.468  12
0 2 2  36.76  2.445  12
1 2 -3  42.10  2.146  12